No. 1
Structure and calculated powder diffractogram of SmHo4Th2 (a cell relaxed with GGA-PBE; Cu Kα, 1.54184 Å).

Crystal structure
a = 3.501 Å, b = 8.747 Å, c = 8.801 Å
α = 119.50°, β = 90.06°, γ = 101.47°
Fractional coordinates of all 7 atoms:
Sm (0.000, 0.000, 0.000)
Ho (0.295, 0.589, 0.706)
Ho (0.352, 0.706, 0.153)
Ho (0.648, 0.294, 0.847)
Ho (0.705, 0.411, 0.294)
Th (0.068, 0.138, 0.436)
Th (0.932, 0.862, 0.564)

The 10 most intense peaks (10 to 90 degrees two-theta), low angle first:
| two_theta | I/Imax |
| --- | --- |
| 30.0 | 22 |
| 30.1 | 15 |
| 31.2 | 51 |
| 31.3 | 100 |
| 32.0 | 48 |
| 33.2 | 48 |
| 47.5 | 21 |
| 52.3 | 16 |
| 62.2 | 23 |
| 62.6 | 14 |

=====

No. 2
Structure and calculated powder diffractogram of Sm3Ho12Th (a cell relaxed with GGA-PBE; Cu Kα, 1.54184 Å).

Crystal structure
a = 5.018 Å, b = 5.018 Å, c = 20.058 Å
α = 90.00°, β = 90.00°, γ = 90.00°
Fractional coordinates of all 16 atoms:
Sm (0.000, 0.000, 0.000)
Sm (0.000, 0.000, 0.251)
Sm (0.000, 0.000, 0.749)
Ho (0.000, 0.500, 0.126)
Ho (0.000, 0.500, 0.377)
Ho (0.000, 0.500, 0.623)
Ho (0.000, 0.500, 0.874)
Ho (0.500, 0.000, 0.126)
Ho (0.500, 0.000, 0.377)
Ho (0.500, 0.000, 0.623)
Ho (0.500, 0.000, 0.874)
Ho (0.500, 0.500, 0.000)
Ho (0.500, 0.500, 0.250)
Ho (0.500, 0.500, 0.500)
Ho (0.500, 0.500, 0.750)
Th (0.000, 0.000, 0.500)

The 8 most intense peaks (10 to 90 degrees two-theta), low angle first:
| two_theta | I/Imax |
| --- | --- |
| 30.9 | 100 |
| 35.8 | 51 |
| 51.5 | 36 |
| 61.3 | 43 |
| 64.3 | 12 |
| 75.9 | 6 |
| 84.1 | 18 |
| 86.8 | 17 |

=====

No. 3
Structure and calculated powder diffractogram of Sm4Ho8Th (a cell relaxed with GGA-PBE; Cu Kα, 1.54184 Å).

Crystal structure
a = 7.768 Å, b = 7.768 Å, c = 7.768 Å
α = 90.09°, β = 90.09°, γ = 90.09°
Fractional coordinates of all 13 atoms:
Sm (0.000, 0.000, 0.000)
Sm (0.000, 0.500, 0.500)
Sm (0.500, 0.000, 0.500)
Sm (0.500, 0.500, 0.000)
Ho (0.240, 0.240, 0.758)
Ho (0.240, 0.758, 0.240)
Ho (0.241, 0.241, 0.241)
Ho (0.242, 0.760, 0.760)
Ho (0.758, 0.240, 0.240)
Ho (0.759, 0.759, 0.759)
Ho (0.760, 0.242, 0.760)
Ho (0.760, 0.760, 0.242)
Th (0.500, 0.500, 0.500)

The 10 most intense peaks (10 to 90 degrees two-theta), low angle first:
| two_theta | I/Imax |
| --- | --- |
| 16.1 | 6 |
| 19.8 | 8 |
| 22.9 | 6 |
| 25.6 | 7 |
| 32.6 | 100 |
| 46.8 | 18 |
| 58.2 | 28 |
| 58.3 | 9 |
| 68.2 | 6 |
| 77.8 | 16 |

=====

No. 4
Structure and calculated powder diffractogram of Sm2HoTm2Th2 (a cell relaxed with GGA-PBE; Cu Kα, 1.54184 Å).

Crystal structure
a = 12.032 Å, b = 12.032 Å, c = 12.032 Å
α = 163.37°, β = 153.05°, γ = 31.83°
Fractional coordinates of all 7 atoms:
Sm (0.145, 0.145, 0.000)
Sm (0.855, 0.855, 0.000)
Ho (0.000, 0.500, 0.500)
Tm (0.291, 0.291, 0.000)
Tm (0.709, 0.709, 0.000)
Th (0.430, 0.930, 0.500)
Th (0.570, 0.070, 0.500)

The 10 most intense peaks (10 to 90 degrees two-theta), low angle first:
| two_theta | I/Imax |
| --- | --- |
| 31.2 | 88 |
| 31.4 | 100 |
| 31.9 | 49 |
| 32.2 | 39 |
| 43.8 | 22 |
| 46.0 | 29 |
| 55.2 | 18 |
| 56.4 | 17 |
| 56.6 | 19 |
| 62.6 | 28 |